The following is a theoretical powder XRD pattern of NaCe2Se3. It was derived from a structure optimized by DFT (GGA-PBE), using copper Kα.
Kinematic intensities with the Lorentz-polarization factor, no thermal factor.

Cell and atoms:
```
data_NaCe2Se3
_chemical_formula_sum 'Na2 Ce4 Se6'
_symmetry_space_group_name_H-M 'I m m m'
_symmetry_Int_Tables_number 71
_symmetry_space_group_name_Hall '-I 2 2'
_cell_length_a 4.229
_cell_length_b 5.979
_cell_length_c 12.887
_cell_angle_alpha 90.00
_cell_angle_beta 90.00
_cell_angle_gamma 90.00
loop_
_atom_site_label
_atom_site_fract_x
_atom_site_fract_y
_atom_site_fract_z
_atom_site_occupancy
Na1 0.000 0.000 0.000 1
Ce1 0.000 0.000 0.335 1
Se1 0.000 0.500 0.000 1
Se2 0.000 0.500 0.330 1
```

Peak list (10 most intense, 10° ≤ 2θ ≤ 80°, low angle first)
| Position (°2θ) | intensity | hkl |
| --- | --- | --- |
| 16.34 | 21 | 0 1 1 |
| 29.64 | 100 | 1 0 3 |
| 29.89 | 49 | 0 2 0 |
| 42.07 | 19 | 0 0 6 |
| 42.60 | 74 | 1 2 3 |
| 42.76 | 18 | 2 0 0 |
| 52.46 | 20 | 0 2 6 |
| 53.04 | 19 | 2 2 0 |
| 69.91 | 16 | 2 2 6 |
| 70.29 | 24 | 3 0 3 |



The following is a theoretical powder XRD pattern of NaAl3Si3O11. It was derived from a structure optimized by DFT (GGA-PBE), using copper Kα.
Kinematic intensities with the Lorentz-polarization factor, no thermal factor.

Cell and atoms:
```
data_NaAl3Si3O11
_chemical_formula_sum 'Na4 Al12 Si12 O44'
_symmetry_space_group_name_H-M 'C 1 c 1'
_symmetry_Int_Tables_number 9
_symmetry_space_group_name_Hall 'C -2yc'
_cell_length_a 5.232
_cell_length_b 9.282
_cell_length_c 20.443
_cell_angle_alpha 90.00
_cell_angle_beta 90.62
_cell_angle_gamma 90.00
loop_
_atom_site_label
_atom_site_fract_x
_atom_site_fract_y
_atom_site_fract_z
_atom_site_occupancy
Na1 0.000 0.001 0.000 1
Al1 0.105 0.251 0.101 1
Al2 0.243 0.412 0.234 1
Al3 0.291 0.101 0.234 1
Si1 0.079 0.428 0.599 1
Si2 0.427 0.252 0.371 1
Si3 0.449 0.071 0.871 1
O1 0.016 0.007 0.244 1
O2 0.043 0.459 0.679 1
O3 0.174 0.420 0.066 1
O4 0.194 0.258 0.184 1
O5 0.199 0.168 0.891 1
O6 0.203 0.353 0.406 1
O7 0.292 0.305 0.583 1
O8 0.304 0.118 0.066 1
O9 0.369 0.242 0.294 1
O10 0.414 0.090 0.405 1
O11 0.492 0.047 0.794 1
```

Peak list (10 most intense, 10° ≤ 2θ ≤ 80°, low angle first)
| Position (°2θ) | intensity | hkl |
| --- | --- | --- |
| 17.35 | 24 | 0 0 4 |
| 19.48 | 44 | 1 1 0 |
| 19.61 | 37 | 0 2 1 |
| 19.93 | 100 | 1 1 -1 |
| 25.93 | 33 | 0 2 4 |
| 26.13 | 76 | 0 0 6 |
| 26.32 | 34 | 1 1 4 |
| 33.95 | 24 | 1 3 1 |
| 36.29 | 25 | 1 3 3 |
| 40.31 | 30 | 1 3 -5 |



The following is a theoretical powder XRD pattern of KH3CSN2O. It was derived from a structure optimized by DFT (GGA-PBE), using copper Kα.
Kinematic intensities with the Lorentz-polarization factor, no thermal factor.

Cell and atoms:
```
data_KH3CSN2O
_chemical_formula_sum 'K4 H12 C4 S4 N8 O4'
_symmetry_space_group_name_H-M 'P 1 21/c 1'
_symmetry_Int_Tables_number 14
_symmetry_space_group_name_Hall '-P 2ybc'
_cell_length_a 5.317
_cell_length_b 12.773
_cell_length_c 9.317
_cell_angle_alpha 90.00
_cell_angle_beta 94.68
_cell_angle_gamma 90.00
loop_
_atom_site_label
_atom_site_fract_x
_atom_site_fract_y
_atom_site_fract_z
_atom_site_occupancy
K1 0.240 0.169 0.032 1
H1 0.215 0.572 0.033 1
H2 0.333 0.185 0.345 1
H3 0.395 0.228 0.303 1
C1 0.257 0.548 0.258 1
S1 0.141 0.643 0.819 1
N1 0.294 0.549 0.133 1
N2 0.423 0.682 0.834 1
O1 0.249 0.542 0.386 1
```

Peak list (10 most intense, 10° ≤ 2θ ≤ 80°, low angle first)
| Position (°2θ) | intensity | hkl |
| --- | --- | --- |
| 20.35 | 75 | 0 1 2 |
| 23.26 | 100 | 1 2 -1 |
| 24.39 | 32 | 1 2 1 |
| 25.43 | 43 | 1 1 -2 |
| 26.86 | 42 | 1 3 0 |
| 27.46 | 58 | 1 1 2 |
| 28.08 | 56 | 1 3 -1 |
| 29.03 | 52 | 1 3 1 |
| 33.81 | 48 | 2 0 0 |
| 35.87 | 51 | 0 3 3 |



The following is a theoretical powder XRD pattern of U3Cu3Sb4. It was derived from a structure optimized by DFT (GGA-PBE), using copper Kα.
Kinematic intensities with the Lorentz-polarization factor, no thermal factor.

Cell and atoms:
```
data_U3Cu3Sb4
_chemical_formula_sum 'U12 Cu12 Sb16'
_symmetry_space_group_name_H-M 'I -4 3 d'
_symmetry_Int_Tables_number 220
_symmetry_space_group_name_Hall 'I -4bd 2c 3'
_cell_length_a 9.464
_cell_length_b 9.464
_cell_length_c 9.464
_cell_angle_alpha 90.00
_cell_angle_beta 90.00
_cell_angle_gamma 90.00
loop_
_atom_site_label
_atom_site_fract_x
_atom_site_fract_y
_atom_site_fract_z
_atom_site_occupancy
U1 0.000 0.250 0.875 1
Cu1 0.000 0.250 0.375 1
Sb1 0.086 0.414 0.586 1
```

Peak list (10 most intense, 10° ≤ 2θ ≤ 80°, low angle first)
| Position (°2θ) | intensity | hkl |
| --- | --- | --- |
| 23.02 | 15 | 2 1 1 |
| 29.85 | 57 | 3 1 0 |
| 35.49 | 100 | 3 2 1 |
| 42.73 | 43 | 4 2 0 |
| 44.92 | 14 | 3 3 2 |
| 47.04 | 14 | 4 2 2 |
| 52.99 | 13 | 5 2 1 |
| 60.28 | 23 | 6 1 1 |
| 63.73 | 11 | 5 4 1 |
| 73.53 | 16 | 5 5 2 |



Please write out number 3 again, unchanged.
The following is a theoretical powder XRD pattern of KH3CSN2O. It was derived from a structure optimized by DFT (GGA-PBE), using copper Kα.
Kinematic intensities with the Lorentz-polarization factor, no thermal factor.

Cell and atoms:
```
data_KH3CSN2O
_chemical_formula_sum 'K4 H12 C4 S4 N8 O4'
_symmetry_space_group_name_H-M 'P 1 21/c 1'
_symmetry_Int_Tables_number 14
_symmetry_space_group_name_Hall '-P 2ybc'
_cell_length_a 5.317
_cell_length_b 12.773
_cell_length_c 9.317
_cell_angle_alpha 90.00
_cell_angle_beta 94.68
_cell_angle_gamma 90.00
loop_
_atom_site_label
_atom_site_fract_x
_atom_site_fract_y
_atom_site_fract_z
_atom_site_occupancy
K1 0.240 0.169 0.032 1
H1 0.215 0.572 0.033 1
H2 0.333 0.185 0.345 1
H3 0.395 0.228 0.303 1
C1 0.257 0.548 0.258 1
S1 0.141 0.643 0.819 1
N1 0.294 0.549 0.133 1
N2 0.423 0.682 0.834 1
O1 0.249 0.542 0.386 1
```

Peak list (10 most intense, 10° ≤ 2θ ≤ 80°, low angle first)
| Position (°2θ) | intensity | hkl |
| --- | --- | --- |
| 20.35 | 75 | 0 1 2 |
| 23.26 | 100 | 1 2 -1 |
| 24.39 | 32 | 1 2 1 |
| 25.43 | 43 | 1 1 -2 |
| 26.86 | 42 | 1 3 0 |
| 27.46 | 58 | 1 1 2 |
| 28.08 | 56 | 1 3 -1 |
| 29.03 | 52 | 1 3 1 |
| 33.81 | 48 | 2 0 0 |
| 35.87 | 51 | 0 3 3 |